Structure and simulated powder X-ray diffraction pattern of BaPrBN2 (a DFT-relaxed cell (PBE, Alexandria); Cu Kα (weighted mean of Kα1 and Kα2)).
Lines closer than 0.1° are merged.

Crystal structure
```
data_BaPrBN2
_cell_length_a 5.3576
_cell_length_b 5.6026
_cell_length_c 7.2740
_cell_angle_alpha 90.00
_cell_angle_beta 90.00
_cell_angle_gamma 90.00
_space_group_name_H-M_alt 'P c c m'
_space_group_IT_number 49
_space_group_name_Hall '-P 2 2c'
loop_
_atom_site_label
_atom_site_fract_x
_atom_site_fract_y
_atom_site_fract_z
Ba1 0.0000 0.0000 0.2500
Pr1 0.5000 0.5000 0.2500
B1 0.0000 0.5000 0.0000
N1 0.2105 0.3640 0.0000
```

Peak list (12 most intense, 10 to 90 degrees two-theta, by intensity)
| h k l | 2θ/deg | I (rel.) |
| --- | --- | --- |
| 1 1 0 | 22.97 | 100.0 |
| 1 1 2 | 33.81 | 90.8 |
| 0 0 2 | 24.48 | 34.9 |
| 2 0 2 | 41.88 | 25.4 |
| 0 2 0 | 31.95 | 25.0 |
| 0 2 2 | 40.65 | 24.1 |
| 2 2 2 | 53.63 | 20.6 |
| 2 0 0 | 33.45 | 18.9 |
| 1 1 4 | 55.86 | 18.1 |
| 2 2 0 | 46.93 | 17.6 |
| 1 3 2 | 58.13 | 17.6 |
| 3 1 2 | 60.03 | 15.4 |